Li4Al3Cd: computed X-ray diffraction stick pattern (a wavelength of 1.5418 Å), based on a structure optimized by DFT (GGA-PBE).

Atomic structure:
abc: 4.476 4.476 6.341
angles: 90.00 90.00 90.00
Space group P-4m2 (No. 115)
Symmetry-distinct sites (fractional):
Li 0.000 0.000 0.000 x1
Li 0.000 0.500 0.749 x2
Li 0.500 0.500 0.500 x1
Al 0.000 0.000 0.500 x1
Al 0.000 0.500 0.256 x2
Cd 0.500 0.500 0.000 x1

Peak list (12 most intense, 15 to 90 degrees two-theta, in order of falling intensity)
d (Å)  2theta  I/Imax  index
3.657  24.34  100  1 0 1
2.239  40.28  94  2 0 0
1.910  47.62  47  2 1 1
4.476  19.84  31  1 0 0
1.293  73.21  30  3 1 2
2.832  31.59  21  1 1 1
3.167  28.18  20  0 0 2
1.453  64.09  19  3 0 1
2.587  34.67  16  1 0 2
2.111  42.84  11  0 0 3
1.582  58.31  10  2 2 0
1.120  87.03  10  4 0 0